# 1
Starting from a crystal structure in the Materials Project, relaxed with GGA-PBE, the powder XRD pattern of NiN was computed for a wavelength of 1.5418 Å.

Top 5 peaks for 10° ≤ 2θ ≤ 90°, sorted by position:
- hkl 1 1 1, d 2.491, 2θ = 36.1°, rel. 100
- hkl 2 0 0, d 2.158, 2θ = 41.9°, rel. 30
- hkl 2 2 0, d 1.526, 2θ = 60.7°, rel. 39
- hkl 3 1 1, d 1.301, 2θ = 72.7°, rel. 33
- hkl 2 2 2, d 1.246, 2θ = 76.5°, rel. 7

Structural model:
```
data_NiN
_chemical_formula_sum 'Ni4 N4'
_cell_length_a 4.3150
_cell_length_b 4.3150
_cell_length_c 4.3150
_cell_angle_alpha 90.00
_cell_angle_beta 90.00
_cell_angle_gamma 90.00
_space_group_name_H-M_alt 'F -4 3 m'
_space_group_IT_number 216
_space_group_name_Hall 'F -4 2 3'
loop_
_atom_site_label
_atom_site_type_symbol
_atom_site_fract_x
_atom_site_fract_y
_atom_site_fract_z
Ni1 Ni 0.0000 0.0000 0.0000
N1 N 0.2500 0.2500 0.7500
```

---

# 2
Starting from a crystal structure in the Materials Project, relaxed with GGA-PBE, the powder XRD pattern of CsZr6CI14 was computed for a wavelength of 1.5418 Å.

Top 10 peaks for 10° ≤ 2θ ≤ 90°, sorted by position:
- hkl 1 1 1, d 8.462, 2θ = 10.5°, rel. 49
- hkl 4 2 1, d 3.435, 2θ = 25.9°, rel. 44
- hkl 0 0 4, d 3.305, 2θ = 27.0°, rel. 41
- hkl 0 4 2, d 3.273, 2θ = 27.2°, rel. 89
- hkl 4 2 2, d 3.132, 2θ = 28.5°, rel. 100
- hkl 0 4 3, d 2.864, 2θ = 31.2°, rel. 27
- hkl 4 2 3, d 2.768, 2θ = 32.3°, rel. 90
- hkl 4 6 0, d 2.132, 2θ = 42.4°, rel. 41
- hkl 4 2 6, d 1.873, 2θ = 48.6°, rel. 30
- hkl 4 6 4, d 1.792, 2θ = 51.0°, rel. 29

Structural model:
```
data_CsZr6CI14
_chemical_formula_sum 'Cs4 Zr24 C4 I56'
_cell_length_a 16.1361
_cell_length_b 15.0714
_cell_length_c 13.2213
_cell_angle_alpha 90.00
_cell_angle_beta 90.00
_cell_angle_gamma 90.00
_space_group_name_H-M_alt 'C m c e'
_space_group_IT_number 64
_space_group_name_Hall '-C 2ac 2'
loop_
_atom_site_label
_atom_site_type_symbol
_atom_site_fract_x
_atom_site_fract_y
_atom_site_fract_z
Cs1 Cs 0.0000 0.0000 0.0000
Zr1 Zr 0.0000 0.1255 0.4067
Zr2 Zr 0.1033 0.0605 0.6058
C1 C 0.0000 0.0000 0.5000
I1 I 0.0000 0.1513 0.7565
I2 I 0.1233 0.0879 0.2544
I3 I 0.1240 0.2329 0.5068
I4 I 0.2492 0.0000 0.5000
I5 I 0.2500 0.1438 0.7500
```

---

> Which formula does entry 2 have?

CsZr6CI14